For KSrNb2O6F, DFT lattice parameters and positions (GGA-PBE) gives the simulated powder diffractogram in this record (a wavelength of 1.5418 Å).
Lines closer than 0.1° are merged.

Structural model:
```
data_KSrNb2O6F
_chemical_formula_sum 'K4 Sr4 Nb8 O24 F4'
_symmetry_space_group_name_H-M 'I m m m'
_symmetry_Int_Tables_number 71
_symmetry_space_group_name_Hall '-I 2 2'
_cell_length_a 3.913
_cell_length_b 7.783
_cell_length_c 22.817
_cell_angle_alpha 90.00
_cell_angle_beta 90.00
_cell_angle_gamma 90.00
loop_
_atom_site_label
_atom_site_type_symbol
_atom_site_fract_x
_atom_site_fract_y
_atom_site_fract_z
K1 K 0.000 0.000 0.236
Sr1 Sr 0.000 0.000 0.000
Sr2 Sr 0.000 0.500 0.000
Nb1 Nb 0.000 0.254 0.393
O1 O 0.000 0.000 0.406
O2 O 0.000 0.248 0.085
O3 O 0.000 0.278 0.315
O4 O 0.000 0.500 0.422
F1 F 0.000 0.224 0.500
```

Most intense lines, 10° ≤ 2θ ≤ 90°, most intense first:
| d/Å | two_theta | I (rel.) | (hkl) |
| --- | --- | --- | --- |
| 3.215 | 27.75 | 100 | 0 2 4 |
| 2.739 | 32.69 | 75 | 1 2 1 |
| 2.971 | 30.08 | 59 | 1 0 5 |
| 3.480 | 25.60 | 47 | 1 0 3 |
| 1.867 | 48.78 | 46 | 1 2 9 |
| 1.671 | 54.94 | 29 | 2 2 4 |
| 1.957 | 46.41 | 28 | 2 0 0 |
| 1.946 | 46.68 | 26 | 0 4 0 |
| 2.282 | 39.50 | 23 | 0 0 10 |
| 1.628 | 56.54 | 23 | 1 4 5 |
| 2.852 | 31.36 | 18 | 0 0 8 |
| 3.857 | 23.06 | 18 | 1 0 1 |